This entry pairs a crystal structure of Ni6Hg4F19 with its simulated powder XRD pattern. Radiation: Cu Kα, 1.54184 Å. Structure: a structure optimized by DFT (PBE+U).
Intensities are scaled so that the largest is 100.

The 6 most intense peaks (10 to 90 degrees two-theta), low angle first:
two_theta	I_rel
23.43	100
30.39	58
33.38	27
41.18	47
50.01	28
54.01	36

Crystal structure
```
Ni6Hg4F19
1.0
-4.650 4.650 4.650
4.650 -4.650 4.650
4.650 4.650 -4.650
Ni Hg F
6 4 19
Direct
0.160 0.660 0.500
0.340 0.500 0.840
0.500 0.160 0.660
0.500 0.840 0.340
0.660 0.500 0.160
0.840 0.340 0.500
0.000 0.000 0.698
0.000 0.698 0.000
0.302 0.302 0.302
0.698 0.000 0.000
0.000 0.000 0.000
0.000 0.349 0.349
0.000 0.651 0.651
0.040 0.303 0.690
0.263 0.960 0.650
0.303 0.690 0.040
0.310 0.613 0.350
0.349 0.000 0.349
0.349 0.349 0.000
0.350 0.310 0.613
0.387 0.697 0.737
0.613 0.350 0.310
0.650 0.263 0.960
0.651 0.000 0.651
0.651 0.651 0.000
0.690 0.040 0.303
0.697 0.737 0.387
0.737 0.387 0.697
0.960 0.650 0.263
```